No. 1
# LiAgTeF6
Calculated X-ray diffraction stick pattern, Cu Kα (weighted mean of Kα1 and Kα2). Input: DFT lattice parameters and positions (GGA-PBE).
Peak positions follow from Bragg's law for the DFT cell and can differ from measured ones.

Structural model:
Unit cell a=5.6889 b=5.6889 c=4.9197 alpha=90.00 beta=90.00 gamma=120.00
Space group P3 (No. 143)
Symmetry-distinct sites (fractional):
Li: 0.0000 0.0000 0.0000 [1 per cell]
Ag: 0.6667 0.3333 0.4985 [1 per cell]
Te: 0.3333 0.6667 0.0290 [1 per cell]
F: 0.0768 0.6919 0.7671 [3 per cell]
F: 0.3177 0.0183 0.1753 [3 per cell]

Most intense lines, 10 to 90 degrees two-theta, by angle:
2θ 18.01, d 4.926, rel. 39, hkl 1 0 0
2θ 25.59, d 3.481, rel. 100, hkl 0 1 1
2θ 31.45, d 2.844, rel. 25, hkl 1 1 0
2θ 36.49, d 2.462, rel. 19, hkl 0 0 2
2θ 40.98, d 2.202, rel. 39, hkl 2 0 1
2θ 48.95, d 1.861, rel. 36, hkl 2 -1 2
2θ 52.55, d 1.741, rel. 32, hkl 3 -2 1
2θ 56.00, d 1.642, rel. 14, hkl 3 0 0
2θ 68.74, d 1.366, rel. 13, hkl 2 0 3
2θ 77.55, d 1.231, rel. 16, hkl 2 2 2

No. 2
# U2Hg2I7
Calculated X-ray diffraction stick pattern, Cu Kα (weighted mean of Kα1 and Kα2). Input: DFT lattice parameters and positions (GGA-PBE).
Peak positions follow from Bragg's law for the DFT cell and can differ from measured ones.

Structural model:
Unit cell a=13.5280 b=9.2515 c=8.6198 alpha=90.00 beta=99.19 gamma=90.00
Space group C2/m (No. 12)
Symmetry-distinct sites (fractional):
U: 0.2374 0.0000 0.0362 [4 per cell]
Hg: 0.0000 0.1831 0.5000 [4 per cell]
I: 0.0000 0.0000 0.0000 [2 per cell]
I: 0.0598 0.5000 0.7915 [4 per cell]
I: 0.2180 0.2854 0.2228 [8 per cell]

Most intense lines, 10 to 90 degrees two-theta, by angle:
2θ 10.40, d 8.509, rel. 42, hkl 0 0 1
2θ 15.51, d 5.715, rel. 77, hkl 2 0 -1
2θ 18.15, d 4.887, rel. 70, hkl 2 0 1
2θ 21.87, d 4.064, rel. 100, hkl 0 2 1
2θ 22.99, d 3.868, rel. 87, hkl 1 1 -2
2θ 26.70, d 3.339, rel. 80, hkl 4 0 0
2θ 30.06, d 2.973, rel. 100, hkl 2 2 -2
2θ 31.21, d 2.866, rel. 62, hkl 1 3 -1
2θ 32.99, d 2.715, rel. 52, hkl 2 2 2
2θ 44.88, d 2.020, rel. 43, hkl 5 3 -1

No. 3
# FeS8
Calculated X-ray diffraction stick pattern, Cu Kα (weighted mean of Kα1 and Kα2). Input: DFT lattice parameters and positions (GGA-PBE).
Peak positions follow from Bragg's law for the DFT cell and can differ from measured ones.

Structural model:
Unit cell a=7.9773 b=10.8293 c=13.9826 alpha=90.00 beta=90.00 gamma=90.00
Space group Fmmm (No. 69)
Symmetry-distinct sites (fractional):
Fe: 0.0000 0.0000 0.0000 [4 per cell]
S: 0.0000 0.0000 0.3966 [8 per cell]
S: 0.0000 0.0950 0.1389 [16 per cell]
S: 0.0000 0.1415 0.5000 [8 per cell]

Most intense lines, 10 to 90 degrees two-theta, by angle:
2θ 12.66, d 6.991, rel. 52, hkl 0 0 2
2θ 16.37, d 5.415, rel. 52, hkl 0 2 0
2θ 22.29, d 3.989, rel. 100, hkl 2 0 0
2θ 25.71, d 3.464, rel. 18, hkl 2 0 2
2θ 27.79, d 3.210, rel. 31, hkl 2 2 0
2θ 33.34, d 2.687, rel. 34, hkl 1 3 3
2θ 42.43, d 2.131, rel. 22, hkl 1 3 5
2θ 45.48, d 1.994, rel. 12, hkl 4 0 0
2θ 47.68, d 1.907, rel. 26, hkl 1 5 3
2θ 58.41, d 1.580, rel. 13, hkl 3 5 3